Entry 1:
Diffraction record for AsS4N4F5. The PXRD pattern is computed, not measured: it uses a DFT-relaxed cell (GGA-PBE, the Materials Project) and Cu Kα X-rays.
Neutral-atom scattering factors, no anomalous dispersion.

Cell and atoms:
abc: 5.786 11.402 7.933
angles: 90.00 109.30 90.00
Element x y z (fractional)
As (0.153, 0.250, 0.148)
As (0.847, 0.750, 0.852)
S (0.173, 0.620, 0.395)
S (0.173, 0.880, 0.395)
S (0.340, 0.127, 0.853)
S (0.340, 0.373, 0.853)
S (0.660, 0.627, 0.147)
S (0.660, 0.873, 0.147)
S (0.827, 0.120, 0.605)
S (0.827, 0.380, 0.605)
N (0.098, 0.082, 0.704)
N (0.098, 0.418, 0.704)
N (0.255, 0.750, 0.374)
N (0.287, 0.250, 0.949)
N (0.713, 0.750, 0.051)
N (0.745, 0.250, 0.626)
N (0.902, 0.582, 0.296)
N (0.902, 0.918, 0.296)
F (0.043, 0.250, 0.331)
F (0.063, 0.640, 0.962)
F (0.063, 0.860, 0.962)
F (0.368, 0.138, 0.252)
F (0.368, 0.362, 0.252)
F (0.632, 0.638, 0.748)
F (0.632, 0.862, 0.748)
F (0.937, 0.140, 0.038)
F (0.937, 0.360, 0.038)
F (0.957, 0.750, 0.669)

Most intense lines, 2θ from 10° to 90°, most intense first:
hkl 1 1 -2, 2θ 25.23, I = 100
hkl 0 2 0, 2θ 15.54, I = 90
hkl 1 1 1, 2θ 24.42, I = 76
hkl 1 1 0, 2θ 18.01, I = 64
hkl 0 3 1, 2θ 26.30, I = 61
hkl 1 0 0, 2θ 16.23, I = 44
hkl 1 2 -1, 2θ 22.84, I = 43
hkl 1 1 -3, 2θ 35.13, I = 41
hkl 1 4 2, 2θ 46.32, I = 39
hkl 1 1 -1, 2θ 18.38, I = 38
hkl 0 0 1, 2θ 11.82, I = 34
hkl 2 3 0, 2θ 40.69, I = 28

Entry 2:
Diffraction record for LaTaO4. The PXRD pattern is computed, not measured: it uses a DFT-relaxed cell (GGA-PBE, the Materials Project) and Cu Kα X-rays.
Neutral-atom scattering factors, no anomalous dispersion.

Cell and atoms:
abc: 7.767 5.593 7.862
angles: 90.00 101.13 90.00
Element x y z (fractional)
La (0.152, 0.225, 0.400)
La (0.152, 0.275, 0.900)
La (0.848, 0.725, 0.100)
La (0.848, 0.775, 0.600)
Ta (0.334, 0.735, 0.195)
Ta (0.334, 0.765, 0.695)
Ta (0.666, 0.235, 0.305)
Ta (0.666, 0.265, 0.805)
O (0.118, 0.517, 0.169)
O (0.118, 0.983, 0.669)
O (0.167, 0.507, 0.635)
O (0.167, 0.993, 0.135)
O (0.331, 0.662, 0.947)
O (0.331, 0.838, 0.447)
O (0.448, 0.082, 0.791)
O (0.448, 0.418, 0.291)
O (0.552, 0.582, 0.709)
O (0.552, 0.918, 0.209)
O (0.669, 0.162, 0.553)
O (0.669, 0.338, 0.053)
O (0.833, 0.007, 0.865)
O (0.833, 0.493, 0.365)
O (0.882, 0.017, 0.331)
O (0.882, 0.483, 0.831)

Most intense lines, 2θ from 10° to 90°, most intense first:
hkl 2 1 0, 2θ 28.34, I = 100
hkl 0 1 2, 2θ 28.10, I = 71
hkl 0 2 0, 2θ 32.00, I = 32
hkl 1 1 -2, 2θ 28.69, I = 30
hkl 2 2 2, 2θ 49.08, I = 29
hkl 1 0 -4, 2θ 46.28, I = 19
hkl 2 1 -2, 2θ 33.75, I = 19
hkl 2 0 0, 2θ 23.34, I = 18
hkl 4 1 0, 2θ 50.61, I = 16
hkl 1 1 4, 2θ 53.80, I = 16
hkl 2 3 0, 2θ 54.82, I = 15
hkl 2 0 2, 2θ 36.19, I = 15

Entry 3:
Diffraction record for Li3BiB2O6. The PXRD pattern is computed, not measured: it uses a DFT-relaxed cell (GGA-PBE, the Materials Project) and Cu Kα X-rays.
Neutral-atom scattering factors, no anomalous dispersion.

Cell and atoms:
abc: 4.835 7.642 8.908
angles: 111.12 90.77 92.15
Element x y z (fractional)
Li (0.043, 0.160, 0.259)
Li (0.231, 0.848, 0.247)
Li (0.335, 0.093, 0.625)
Li (0.665, 0.907, 0.375)
Li (0.769, 0.152, 0.753)
Li (0.957, 0.840, 0.741)
Bi (0.404, 0.543, 0.803)
Bi (0.596, 0.457, 0.197)
B (0.272, 0.215, 0.945)
B (0.447, 0.759, 0.543)
B (0.553, 0.241, 0.457)
B (0.728, 0.785, 0.055)
O (0.115, 0.104, 0.817)
O (0.199, 0.284, 0.110)
O (0.288, 0.689, 0.639)
O (0.349, 0.101, 0.398)
O (0.378, 0.699, 0.377)
O (0.466, 0.714, 0.078)
O (0.534, 0.286, 0.922)
O (0.622, 0.301, 0.623)
O (0.651, 0.899, 0.602)
O (0.712, 0.311, 0.361)
O (0.801, 0.716, 0.890)
O (0.885, 0.896, 0.183)

Most intense lines, 2θ from 10° to 90°, most intense first:
hkl 0 1 0, 2θ 12.43, I = 100
hkl 1 0 0, 2θ 18.37, I = 59
hkl 0 2 -2, 2θ 26.44, I = 39
hkl 1 1 0, 2θ 22.71, I = 34
hkl -1 1 1, 2θ 26.01, I = 32
hkl 0 1 -2, 2θ 20.50, I = 26
hkl 1 -1 2, 2θ 27.67, I = 26
hkl 0 0 2, 2θ 21.39, I = 23
hkl -1 2 1, 2θ 35.25, I = 22
hkl 1 -1 0, 2θ 21.76, I = 21
hkl 1 -3 1, 2θ 39.43, I = 20
hkl 1 0 -1, 2θ 21.01, I = 19

Entry 4:
Diffraction record for LiTiH6O2F6. The PXRD pattern is computed, not measured: it uses a DFT-relaxed cell (GGA-PBE, the Materials Project) and Cu Kα X-rays.
Neutral-atom scattering factors, no anomalous dispersion.

Cell and atoms:
abc: 5.670 5.670 5.978
angles: 90.00 90.00 120.00
Element x y z (fractional)
Li (0.000, 0.000, 0.000)
Ti (0.333, 0.667, 0.686)
H (0.012, 0.181, 0.410)
H (0.169, 0.988, 0.410)
H (0.502, 0.152, 0.963)
H (0.650, 0.498, 0.963)
H (0.819, 0.831, 0.410)
H (0.848, 0.350, 0.963)
O (0.000, 0.000, 0.348)
O (0.667, 0.333, 0.012)
F (0.033, 0.418, 0.493)
F (0.103, 0.353, 0.906)
F (0.250, 0.897, 0.906)
F (0.385, 0.967, 0.493)
F (0.582, 0.615, 0.493)
F (0.647, 0.750, 0.906)

Most intense lines, 2θ from 10° to 90°, most intense first:
hkl 0 1 1, 2θ 23.44, I = 100
hkl 1 0 0, 2θ 18.06, I = 55
hkl 2 0 1, 2θ 39.68, I = 43
hkl 0 0 1, 2θ 14.82, I = 42
hkl 1 1 0, 2θ 31.56, I = 40
hkl 1 1 2, 2θ 44.02, I = 32
hkl 2 0 2, 2θ 47.95, I = 26
hkl 1 1 3, 2θ 56.44, I = 26
hkl 2 1 2, 2θ 58.53, I = 22
hkl 1 0 2, 2θ 35.15, I = 20
hkl 2 1 1, 2θ 51.56, I = 17
hkl 0 0 2, 2θ 29.89, I = 15

Entry 5:
Diffraction record for TbGe2Ru2. The PXRD pattern is computed, not measured: it uses a DFT-relaxed cell (GGA-PBE, the Materials Project) and Cu Kα X-rays.
Neutral-atom scattering factors, no anomalous dispersion.

Cell and atoms:
abc: 4.270 4.270 9.923
angles: 90.00 90.00 90.00
Element x y z (fractional)
Tb (0.000, 0.000, 0.000)
Tb (0.500, 0.500, 0.500)
Ge (0.000, 0.000, 0.370)
Ge (0.000, 0.000, 0.630)
Ge (0.500, 0.500, 0.130)
Ge (0.500, 0.500, 0.870)
Ru (0.000, 0.500, 0.250)
Ru (0.000, 0.500, 0.750)
Ru (0.500, 0.000, 0.250)
Ru (0.500, 0.000, 0.750)

Most intense lines, 2θ from 10° to 90°, most intense first:
hkl 1 1 2, 2θ 34.78, I = 100
hkl 1 0 3, 2θ 34.29, I = 62
hkl 2 0 0, 2θ 42.34, I = 61
hkl 2 1 3, 2θ 55.57, I = 31
hkl 3 1 2, 2θ 72.56, I = 23
hkl 1 1 6, 2θ 64.21, I = 20
hkl 2 2 0, 2θ 61.42, I = 20
hkl 1 0 5, 2θ 50.73, I = 16
hkl 2 1 5, 2θ 68.15, I = 13
hkl 1 1 4, 2θ 47.43, I = 13
hkl 2 0 4, 2θ 56.90, I = 9
hkl 3 2 3, 2θ 87.49, I = 9

Entry 6:
Diffraction record for Ca2CuC2O2. The PXRD pattern is computed, not measured: it uses a DFT-relaxed cell (GGA-PBE, the Materials Project) and Cu Kα X-rays.
Neutral-atom scattering factors, no anomalous dispersion.

Cell and atoms:
abc: 3.804 3.804 6.860
angles: 90.00 90.00 90.00
Element x y z (fractional)
Ca (0.000, 0.000, 0.226)
Ca (0.000, 0.000, 0.774)
Cu (0.500, 0.500, 0.000)
C (0.500, 0.500, 0.408)
C (0.500, 0.500, 0.592)
O (0.000, 0.500, 0.000)
O (0.500, 0.000, 0.000)

Most intense lines, 2θ from 10° to 90°, most intense first:
hkl 0 0 1, 2θ 12.90, I = 100
hkl 1 0 2, 2θ 35.23, I = 92
hkl 1 1 0, 2θ 33.31, I = 43
hkl 2 1 2, 2θ 60.77, I = 33
hkl 2 0 0, 2θ 47.82, I = 30
hkl 1 0 3, 2θ 46.33, I = 20
hkl 2 0 1, 2θ 49.74, I = 12
hkl 2 1 3, 2θ 68.77, I = 11
hkl 1 0 1, 2θ 26.80, I = 10
hkl 2 2 0, 2θ 69.94, I = 8
hkl 2 0 4, 2θ 74.49, I = 8
hkl 3 0 2, 2θ 80.80, I = 7